Starting from a DFT-relaxed cell (GGA-PBE, the Materials Project), the powder X-ray diffraction pattern of Y2CrH6 was calculated for λ = 1.5418 Å (Cu Kα).
Peak positions follow from Bragg's law for the DFT cell and can differ from measured ones.

Crystal structure
Unit cell a=4.949 b=4.949 c=4.949 alpha=60.00 beta=60.00 gamma=60.00
Sites, in units of the cell vectors:
Y1 0.250 0.250 0.250
Y2 0.750 0.750 0.750
Cr1 0.000 0.000 0.000
H1 0.246 0.246 0.754
H2 0.246 0.754 0.246
H3 0.246 0.754 0.754
H4 0.754 0.246 0.246
H5 0.754 0.246 0.754
H6 0.754 0.754 0.246

The 10 most intense peaks (2θ = 10–90°), in order of rising 2θ:
22.00 deg, I = 14.0
25.45 deg, I = 36.5
36.31 deg, I = 100.0
44.86 deg, I = 12.2
52.29 deg, I = 18.0
59.03 deg, I = 14.4
65.32 deg, I = 33.5
77.09 deg, I = 10.5
82.74 deg, I = 6.9
88.32 deg, I = 14.5

=====

Starting from a DFT-relaxed cell (GGA-PBE, the Materials Project), the powder X-ray diffraction pattern of Rb3Sm was calculated for λ = 1.5418 Å (Cu Kα).
Peak positions follow from Bragg's law for the DFT cell and can differ from measured ones.

Crystal structure
Unit cell a=6.431 b=6.431 c=6.431 alpha=90.00 beta=90.00 gamma=90.00
Sites, in units of the cell vectors:
Rb1 0.000 0.000 0.500
Rb2 0.000 0.500 0.000
Rb3 0.500 0.000 0.000
Sm1 0.500 0.500 0.500

The 10 most intense peaks (2θ = 10–90°), in order of rising 2θ:
23.97 deg, I = 100.0
27.74 deg, I = 51.9
39.64 deg, I = 39.4
46.85 deg, I = 48.4
49.07 deg, I = 14.1
57.31 deg, I = 6.6
63.00 deg, I = 19.9
64.84 deg, I = 18.2
71.93 deg, I = 13.5
77.05 deg, I = 14.9

=====

Please write out number 2 again, unchanged.
Starting from a DFT-relaxed cell (GGA-PBE, the Materials Project), the powder X-ray diffraction pattern of Rb3Sm was calculated for λ = 1.5418 Å (Cu Kα).
Peak positions follow from Bragg's law for the DFT cell and can differ from measured ones.

Crystal structure
Unit cell a=6.431 b=6.431 c=6.431 alpha=90.00 beta=90.00 gamma=90.00
Sites, in units of the cell vectors:
Rb1 0.000 0.000 0.500
Rb2 0.000 0.500 0.000
Rb3 0.500 0.000 0.000
Sm1 0.500 0.500 0.500

The 10 most intense peaks (2θ = 10–90°), in order of rising 2θ:
23.97 deg, I = 100.0
27.74 deg, I = 51.9
39.64 deg, I = 39.4
46.85 deg, I = 48.4
49.07 deg, I = 14.1
57.31 deg, I = 6.6
63.00 deg, I = 19.9
64.84 deg, I = 18.2
71.93 deg, I = 13.5
77.05 deg, I = 14.9